Record 1
This entry pairs a crystal structure of Ba2CrN3 with its calculated powder diffractogram. Radiation: copper Kα. Structure: a cell relaxed with GGA-PBE.
No peak broadening, texture or thermal motion is included.

Crystal structure
```
Ba2CrN3
1.0
2.924 -5.850 0.000
2.924 5.850 0.000
0.000 0.000 12.947
Ba Cr N
8 4 12
Cartesian
2.924 5.138 11.125
2.924 4.174 5.414
2.924 1.676 11.887
2.924 0.712 4.652
2.924 -0.712 8.295
2.924 -1.676 1.059
2.924 -4.174 7.533
2.924 -5.138 1.822
2.924 3.038 8.648
2.924 2.812 2.175
2.924 -2.812 10.771
2.924 -3.038 4.298
1.462 2.727 9.710
2.924 4.728 8.189
2.924 3.884 0.768
2.924 1.966 7.242
2.924 1.122 1.716
1.462 -2.727 3.237
4.386 2.727 9.710
2.924 -1.122 11.231
2.924 -1.966 5.705
2.924 -3.884 12.178
2.924 -4.728 4.757
4.386 -2.727 3.237
```

Top 10 peaks for 10° ≤ 2θ ≤ 90°, by intensity:
2θ/deg	I/Imax
30.83	100
30.57	74
28.36	55
27.56	37
26.78	32
41.62	31
21.84	30
32.53	26
49.52	25
38.00	25

---

Record 2
This entry pairs a crystal structure of Na3ScSiGeP2O12 with its calculated powder diffractogram. Radiation: copper Kα. Structure: a cell relaxed with GGA-PBE.
No peak broadening, texture or thermal motion is included.

Crystal structure
```
Na3ScSiGeP2O12
1.0
7.675 -4.463 0.000
7.675 4.463 0.000
-5.215 0.000 7.291
Na Sc Si Ge P O
6 2 2 2 4 24
Cartesian
5.068 3.856 3.646
-0.122 0.904 7.033
7.624 2.064 1.517
2.486 -0.904 3.387
5.017 -2.064 5.163
7.675 -3.856 0.000
2.422 2.184 5.658
5.029 -2.184 2.012
4.740 1.007 3.337
2.133 -1.007 6.983
7.567 2.134 4.724
10.175 -2.134 1.078
0.197 0.848 3.374
-2.410 -0.848 7.019
9.992 0.356 3.357
7.385 -0.356 7.003
0.957 3.195 6.930
1.090 1.173 2.118
-2.460 0.731 7.045
0.812 1.377 4.663
4.039 1.687 1.949
3.811 3.123 6.949
0.147 -0.731 3.399
-1.517 -1.173 5.764
3.801 1.419 4.565
6.211 1.768 3.468
2.222 0.606 6.951
3.420 -1.377 1.017
4.829 -0.606 3.305
1.431 -1.687 5.595
8.729 1.274 3.384
6.409 -1.419 0.919
7.260 0.545 5.724
3.564 -3.195 3.285
3.603 -1.768 7.114
9.868 -0.545 2.079
12.733 0.469 0.986
6.121 -1.274 7.030
6.418 -3.123 3.303
10.125 -0.469 4.632
```

Top 10 peaks for 10° ≤ 2θ ≤ 90°, by intensity:
2θ/deg	I/Imax
19.98	100
23.36	66
31.70	55
34.88	54
31.95	48
31.57	42
28.22	39
19.85	36
35.08	33
14.00	30